No. 1
Structure and computed powder X-ray diffraction pattern of Pm2ZnSi4Rh3 (the PBE geometry in Alexandria; Cu Kα X-rays).
Peak positions follow from Bragg's law for the DFT cell and can differ from measured ones.

Structure:
Lattice parameters (Å, degrees): 4.1716 4.1716 9.9975 90.00 90.00 90.00
Fractional coordinates of all 10 atoms:
Pm (0.0000, 0.5000, 0.2444)
Pm (0.5000, 0.0000, 0.7556)
Zn (0.0000, 0.0000, 0.5000)
Si (0.0000, 0.0000, 0.0000)
Si (0.0000, 0.5000, 0.6389)
Si (0.5000, 0.0000, 0.3611)
Si (0.5000, 0.5000, 0.0000)
Rh (0.0000, 0.5000, 0.8784)
Rh (0.5000, 0.0000, 0.1216)
Rh (0.5000, 0.5000, 0.5000)

Main lines, by angle (2θ from 10° to 90°):
Position (°2θ), I/Imax
27.9, 13
30.3, 29
31.6, 29
34.4, 89
35.3, 100
43.4, 63
50.6, 29
56.5, 42
63.0, 21
64.2, 17
68.8, 23
74.4, 22

=====

No. 2
Structure and computed powder X-ray diffraction pattern of Hf8Ga3As2 (the PBE geometry in Alexandria; Cu Kα X-rays).
Peak positions follow from Bragg's law for the DFT cell and can differ from measured ones.

Structure:
Lattice parameters (Å, degrees): 7.4422 7.4422 5.4846 90.12 90.12 63.17
Fractional coordinates of all 13 atoms:
Hf (0.0655, 0.6781, 0.1265)
Hf (0.1026, 0.1026, 0.3805)
Hf (0.3219, 0.9345, 0.8735)
Hf (0.3271, 0.3271, 0.6199)
Hf (0.6729, 0.6729, 0.3801)
Hf (0.6781, 0.0655, 0.1265)
Hf (0.8974, 0.8974, 0.6195)
Hf (0.9345, 0.3219, 0.8735)
Ga (0.3029, 0.6971, 0.5000)
Ga (0.5000, 0.5000, 0.0000)
Ga (0.6971, 0.3029, 0.5000)
As (0.2768, 0.2768, 0.1108)
As (0.7232, 0.7232, 0.8892)

Main lines, by angle (2θ from 10° to 90°):
Position (°2θ), I/Imax
28.1, 61
31.5, 91
35.7, 100
37.3, 43
39.0, 39
40.2, 70
40.8, 55
46.6, 14
48.8, 21
57.5, 18
60.1, 18
73.3, 17

=====

No. 3
Structure and computed powder X-ray diffraction pattern of Li2Ac3AlPd6 (the PBE geometry in Alexandria; Cu Kα X-rays).
Peak positions follow from Bragg's law for the DFT cell and can differ from measured ones.

Structure:
Lattice parameters (Å, degrees): 5.9693 5.9693 8.6880 90.00 90.00 120.00
Fractional coordinates of all 12 atoms:
Li (0.3333, 0.6667, 0.0335)
Li (0.6667, 0.3333, 0.9665)
Ac (0.0000, 0.0000, 0.0000)
Ac (0.3333, 0.6667, 0.6171)
Ac (0.6667, 0.3333, 0.3829)
Al (0.0000, 0.0000, 0.5000)
Pd (0.1730, 0.3460, 0.2829)
Pd (0.1730, 0.8270, 0.2829)
Pd (0.3460, 0.1730, 0.7171)
Pd (0.6540, 0.8270, 0.2829)
Pd (0.8270, 0.1730, 0.7171)
Pd (0.8270, 0.6540, 0.7171)

Main lines, by angle (2θ from 10° to 90°):
Position (°2θ), I/Imax
10.2, 27
20.0, 60
26.8, 30
29.9, 24
30.9, 22
35.5, 30
36.3, 100
36.5, 29
40.6, 57
45.3, 21
62.2, 23
64.1, 17

=====

No. 4
Structure and computed powder X-ray diffraction pattern of PmTiS4 (the PBE geometry in Alexandria; Cu Kα X-rays).
Peak positions follow from Bragg's law for the DFT cell and can differ from measured ones.

Structure:
Lattice parameters (Å, degrees): 7.1353 7.1353 6.1748 110.54 110.54 105.71
Fractional coordinates of all 12 atoms:
Pm (0.1341, 0.8659, 0.7500)
Pm (0.8659, 0.1341, 0.2500)
Ti (0.4985, 0.5015, 0.2500)
Ti (0.5015, 0.4985, 0.7500)
S (0.1666, 0.2896, 0.7901)
S (0.2139, 0.5439, 0.4001)
S (0.2896, 0.1666, 0.2901)
S (0.4561, 0.7861, 0.0999)
S (0.5439, 0.2139, 0.9001)
S (0.7104, 0.8334, 0.7099)
S (0.7861, 0.4561, 0.5999)
S (0.8334, 0.7104, 0.2099)

Main lines, by angle (2θ from 10° to 90°):
Position (°2θ), I/Imax
16.5, 100
23.6, 69
26.1, 59
26.7, 36
32.5, 56
35.7, 35
38.4, 46
41.7, 57
42.2, 46
42.4, 44
45.6, 31
51.5, 41

=====

No. 5
Structure and computed powder X-ray diffraction pattern of Li4Tl2Cl9 (the PBE geometry in Alexandria; Cu Kα X-rays).
Peak positions follow from Bragg's law for the DFT cell and can differ from measured ones.

Structure:
Lattice parameters (Å, degrees): 6.6327 6.6327 18.2484 90.00 90.00 120.00
Fractional coordinates of all 30 atoms:
Li (0.3333, 0.6667, 0.0104)
Li (0.3333, 0.6667, 0.3248)
Li (0.3333, 0.6667, 0.5192)
Li (0.3333, 0.6667, 0.8286)
Li (0.6667, 0.3333, 0.1714)
Li (0.6667, 0.3333, 0.4808)
Li (0.6667, 0.3333, 0.6752)
Li (0.6667, 0.3333, 0.9896)
Tl (0.0000, 0.0000, 0.1381)
Tl (0.0000, 0.0000, 0.3486)
Tl (0.0000, 0.0000, 0.6514)
Tl (0.0000, 0.0000, 0.8619)
Cl (0.0010, 0.6799, 0.2593)
Cl (0.0162, 0.6261, 0.9170)
Cl (0.0231, 0.3561, 0.4201)
Cl (0.3201, 0.3212, 0.2593)
Cl (0.3212, 0.0010, 0.7407)
Cl (0.3330, 0.9769, 0.4201)
Cl (0.3561, 0.3330, 0.5799)
Cl (0.3739, 0.3901, 0.9170)
Cl (0.3901, 0.0162, 0.0830)
Cl (0.6099, 0.9838, 0.9170)
Cl (0.6261, 0.6099, 0.0830)
Cl (0.6439, 0.6670, 0.4201)
Cl (0.6670, 0.0231, 0.5799)
Cl (0.6788, 0.9990, 0.2593)
Cl (0.6799, 0.6788, 0.7407)
Cl (0.9769, 0.6439, 0.5799)
Cl (0.9838, 0.3739, 0.0830)
Cl (0.9990, 0.3201, 0.7407)

Main lines, by angle (2θ from 10° to 90°):
Position (°2θ), I/Imax
15.4, 100
19.5, 16
24.9, 54
30.7, 21
31.1, 26
33.4, 45
37.0, 26
40.2, 26
41.6, 19
46.3, 24
47.5, 22
51.8, 16

=====

No. 6
Structure and computed powder X-ray diffraction pattern of Ce2Ho2Tl3 (the PBE geometry in Alexandria; Cu Kα X-rays).
Peak positions follow from Bragg's law for the DFT cell and can differ from measured ones.

Structure:
Lattice parameters (Å, degrees): 12.5644 12.5644 3.5027 90.00 90.00 160.02
Fractional coordinates of all 7 atoms:
Ce (0.2148, 0.7852, 0.0000)
Ce (0.7852, 0.2148, 0.0000)
Ho (0.0718, 0.9282, 0.0000)
Ho (0.9282, 0.0718, 0.0000)
Tl (0.3584, 0.6416, 0.5000)
Tl (0.5000, 0.5000, 0.5000)
Tl (0.6416, 0.3584, 0.5000)

Main lines, by angle (2θ from 10° to 90°):
Position (°2θ), I/Imax
32.6, 100
33.0, 87
33.6, 41
38.8, 29
41.4, 26
51.7, 14
52.2, 13
54.3, 21
58.1, 18
59.2, 16
62.9, 31
66.2, 12

=====

Repeat the first record exactly.
Structure and computed powder X-ray diffraction pattern of Pm2ZnSi4Rh3 (the PBE geometry in Alexandria; Cu Kα X-rays).
Peak positions follow from Bragg's law for the DFT cell and can differ from measured ones.

Structure:
Lattice parameters (Å, degrees): 4.1716 4.1716 9.9975 90.00 90.00 90.00
Fractional coordinates of all 10 atoms:
Pm (0.0000, 0.5000, 0.2444)
Pm (0.5000, 0.0000, 0.7556)
Zn (0.0000, 0.0000, 0.5000)
Si (0.0000, 0.0000, 0.0000)
Si (0.0000, 0.5000, 0.6389)
Si (0.5000, 0.0000, 0.3611)
Si (0.5000, 0.5000, 0.0000)
Rh (0.0000, 0.5000, 0.8784)
Rh (0.5000, 0.0000, 0.1216)
Rh (0.5000, 0.5000, 0.5000)

Main lines, by angle (2θ from 10° to 90°):
Position (°2θ), I/Imax
27.9, 13
30.3, 29
31.6, 29
34.4, 89
35.3, 100
43.4, 63
50.6, 29
56.5, 42
63.0, 21
64.2, 17
68.8, 23
74.4, 22